No. 1
Structure and calculated powder diffractogram of Ce4NdCo4 (DFT lattice parameters and positions (PBE); Cu Ka).

The 8 most intense peaks (15° ≤ 2θ ≤ 90°), in order of rising 2θ:
2θ 28.6, d = 3.118 Å, I 98; 2θ 31.1, d = 2.877 Å, I 33; 2θ 33.0, d = 2.718 Å, I 36; 2θ 34.2, d = 2.623 Å, I 100; 2θ 39.6, d = 2.273 Å, I 16; 2θ 46.9, d = 1.938 Å, I 37; 2θ 49.1, d = 1.855 Å, I 31; 2θ 57.8, d = 1.594 Å, I 31

Structural model:
```
Ce4NdCo4
1.0
8.295 0.000 0.000
0.000 8.295 0.000
0.000 0.000 5.753
Ce Nd Co
8 2 8
direct
0.056 0.668 0.183
0.168 0.944 0.683
0.332 0.556 0.683
0.444 0.832 0.183
0.556 0.168 0.817
0.668 0.444 0.317
0.832 0.056 0.317
0.944 0.332 0.817
0.250 0.250 0.250
0.750 0.750 0.750
0.055 0.604 0.661
0.104 0.945 0.161
0.396 0.555 0.161
0.445 0.896 0.661
0.555 0.104 0.339
0.604 0.445 0.839
0.896 0.055 0.839
0.945 0.396 0.339
```

=====

No. 2
Structure and calculated powder diffractogram of CaAc3Pb4 (DFT lattice parameters and positions (PBE); Cu Ka).

The 8 most intense peaks (15° ≤ 2θ ≤ 90°), in order of rising 2θ:
2θ 26.3, d = 3.394 Å, I 76; 2θ 29.9, d = 2.992 Å, I 100; 2θ 31.9, d = 2.805 Å, I 73; 2θ 32.2, d = 2.777 Å, I 66; 2θ 34.9, d = 2.569 Å, I 34; 2θ 43.9, d = 2.060 Å, I 27; 2θ 54.1, d = 1.696 Å, I 69; 2θ 57.3, d = 1.609 Å, I 31

Structural model:
```
CaAc3Pb4
1.0
-2.060 3.834 9.575
2.060 -3.834 9.575
2.060 3.834 -9.575
Ca Ac Pb
1 3 4
direct
0.000 0.000 0.000
0.212 0.712 0.500
0.500 0.500 0.000
0.788 0.288 0.500
0.163 0.875 0.288
0.414 0.125 0.288
0.586 0.875 0.712
0.837 0.125 0.712
```